ZrAgPO5: computed X-ray powder pattern (Cu Kα (weighted mean of Kα1 and Kα2)), based on the PBE geometry in Alexandria.
Intensities are scaled so that the largest is 100.

Peak list (10 most intense, 2θ = 10–80°, low angle first)
16.99°, 5.220 Å, I 33.3
25.00°, 3.562 Å, I 100.0
27.35°, 3.261 Å, I 88.0
32.96°, 2.717 Å, I 46.1
33.59°, 2.668 Å, I 74.6
34.41°, 2.606 Å, I 23.2
38.65°, 2.329 Å, I 31.7
50.99°, 1.791 Å, I 18.9
52.45°, 1.745 Å, I 24.0
57.72°, 1.597 Å, I 19.3

Crystal structure
abc: 5.7263 5.7263 7.8175
angles: 107.37 107.37 99.97
Sites, in units of the cell vectors:
Zr1 0.0000 0.0000 0.0000
Zr2 0.0000 0.0000 0.5000
Ag1 0.3225 0.6775 0.7500
Ag2 0.6775 0.3225 0.2500
P1 0.3284 0.6716 0.2500
P2 0.6716 0.3284 0.7500
O1 0.0720 0.9280 0.7500
O2 0.1651 0.7113 0.3771
O3 0.2555 0.3835 0.1216
O4 0.2887 0.8349 0.1229
O5 0.3835 0.2555 0.6216
O6 0.6165 0.7445 0.3784
O7 0.7113 0.1651 0.8771
O8 0.7445 0.6165 0.8784
O9 0.8349 0.2887 0.6229
O10 0.9280 0.0720 0.2500

NaZr2SN2Cl: computed X-ray powder pattern (Cu Kα (weighted mean of Kα1 and Kα2)), based on the PBE geometry in Alexandria.
Intensities are scaled so that the largest is 100.

Peak list (10 most intense, 2θ = 10–80°, low angle first)
28.56°, 3.126 Å, I 31.8
31.65°, 2.827 Å, I 100.0
34.88°, 2.572 Å, I 20.4
35.47°, 2.531 Å, I 13.6
41.01°, 2.201 Å, I 33.3
49.42°, 1.844 Å, I 37.2
50.88°, 1.795 Å, I 8.8
59.88°, 1.545 Å, I 14.8
62.30°, 1.490 Å, I 14.5
68.87°, 1.363 Å, I 11.4

Crystal structure
abc: 10.3451 10.3451 10.3451
angles: 20.54 20.54 20.54
Sites, in units of the cell vectors:
Na1 0.0000 0.0000 0.0000
Zr1 0.1997 0.1997 0.1997
Zr2 0.7802 0.7802 0.7802
S1 0.3905 0.3905 0.3905
N1 0.1317 0.1317 0.1317
N2 0.8570 0.8570 0.8570
Cl1 0.6025 0.6025 0.6025

Which formula does entry 1 have?
ZrAgPO5